For Sm2TmTl2Zn2, a cell relaxed with PBE gives the calculated powder X-ray diffraction pattern in this record (Cu Kα X-rays).

Main lines, by angle (5° ≤ 2θ ≤ 70°):
| two_theta | I (rel.) |
| --- | --- |
| 31.25 | 58 |
| 33.68 | 100 |
| 37.97 | 97 |
| 51.65 | 30 |
| 63.50 | 30 |
| 65.87 | 29 |

Structure:
abc: 9.7126 9.7126 9.7126
angles: 28.24 28.24 28.24
Positions (direct):
Sm 0.1254 0.1254 0.1254
Sm 0.8746 0.8746 0.8746
Tm 0.0000 0.0000 0.0000
Tl 0.2653 0.2653 0.2653
Tl 0.7347 0.7347 0.7347
Zn 0.3876 0.3876 0.3876
Zn 0.6124 0.6124 0.6124